Diffraction record for Nd2AlGe6. The XRD peak list is computed, not measured: it uses a crystal structure in the Materials Project, relaxed with GGA-PBE and Cu Kα, 1.54184 Å.
Lines closer than 0.1° are merged.

Most intense lines, 2θ from 10° to 90°, by angle:
| 2theta | I/Imax |
| --- | --- |
| 24.7 | 14.0 |
| 26.5 | 12.8 |
| 32.1 | 100.0 |
| 32.7 | 21.9 |
| 34.2 | 21.2 |
| 36.5 | 14.2 |
| 36.6 | 15.3 |
| 41.1 | 24.0 |
| 43.0 | 23.1 |
| 61.1 | 14.4 |

Structural model:
Cell lengths 8.4100, 8.7755, 10.7143 Å; angles 90.00, 101.55, 90.00 degrees
Space group C2/m (No. 12)
Unique sites:
Nd 0.0860 0.2481 0.3377 x8
Al 0.2004 0.0000 0.8045 x4
Ge 0.0111 0.5000 0.8848 x4
Ge 0.0692 0.0000 0.1150 x4
Ge 0.1394 0.5000 0.5822 x4
Ge 0.1468 0.0000 0.5630 x4
Ge 0.2208 0.2864 0.8847 x8

***

Diffraction record for Nd2Al3Ge4. The XRD peak list is computed, not measured: it uses a crystal structure in the Materials Project, relaxed with GGA-PBE and Cu Kα, 1.54184 Å.
Lines closer than 0.1° are merged.

Most intense lines, 2θ from 10° to 90°, by angle:
| 2theta | I/Imax |
| --- | --- |
| 19.4 | 18.2 |
| 31.9 | 26.3 |
| 34.3 | 31.7 |
| 34.9 | 100.0 |
| 37.1 | 13.9 |
| 37.5 | 40.3 |
| 38.5 | 17.9 |
| 50.0 | 13.9 |
| 56.7 | 13.5 |
| 58.7 | 12.4 |

Structural model:
Cell lengths 5.9238, 15.2112, 8.1859 Å; angles 90.00, 90.00, 90.00 degrees
Space group Cmce (No. 64)
Unique sites:
Nd 0.0000 0.1150 0.0798 x8
Al 0.0000 0.0000 0.5000 x4
Al 0.2500 0.2180 0.7500 x8
Ge 0.0000 0.1851 0.4478 x8
Ge 0.2500 0.0487 0.7500 x8

***

Diffraction record for NdAlGe2O7. The XRD peak list is computed, not measured: it uses a crystal structure in the Materials Project, relaxed with GGA-PBE and Cu Kα, 1.54184 Å.
Lines closer than 0.1° are merged.

Most intense lines, 2θ from 10° to 90°, by angle:
| 2theta | I/Imax |
| --- | --- |
| 15.5 | 40.6 |
| 27.5 | 100.0 |
| 27.7 | 59.2 |
| 29.7 | 94.9 |
| 30.6 | 31.4 |
| 31.4 | 47.6 |
| 33.0 | 33.6 |
| 36.0 | 27.4 |
| 47.8 | 34.8 |
| 50.8 | 29.4 |

Structural model:
Cell lengths 7.3291, 6.5962, 12.8872 Å; angles 90.00, 117.73, 90.00 degrees
Space group P2_1/c (No. 14)
Unique sites:
Nd 0.2382 0.1478 0.4731 x4
Al 0.2136 0.1014 0.7295 x4
Ge 0.2101 0.6581 0.4502 x4
Ge 0.3028 0.5892 0.7196 x4
O 0.0063 0.6593 0.9148 x4
O 0.1600 0.6829 0.1873 x4
O 0.2054 0.0515 0.8647 x4
O 0.2243 0.1170 0.2766 x4
O 0.2489 0.5015 0.5729 x4
O 0.4067 0.6739 0.9756 x4
O 0.4269 0.1200 0.6965 x4

***

Diffraction record for Al15Ni3Ge4. The XRD peak list is computed, not measured: it uses a crystal structure in the Materials Project, relaxed with GGA-PBE and Cu Kα, 1.54184 Å.
Lines closer than 0.1° are merged.

Most intense lines, 2θ from 10° to 90°, by angle:
| 2theta | I/Imax |
| --- | --- |
| 24.7 | 68.3 |
| 27.1 | 65.6 |
| 29.3 | 37.9 |
| 33.3 | 24.2 |
| 35.2 | 21.2 |
| 38.7 | 23.3 |
| 44.9 | 100.0 |
| 46.4 | 60.5 |
| 49.2 | 25.6 |
| 59.5 | 23.5 |

Structural model:
Cell lengths 11.4104, 11.4104, 11.4104 Å; angles 90.00, 90.00, 90.00 degrees
Space group I-43m (No. 217)
Unique sites:
Al 0.0000 0.0000 0.1915 x12
Al 0.1082 0.1082 0.6169 x24
Al 0.1165 0.3618 0.6382 x24
Ni 0.0000 0.2500 0.5000 x12
Ge 0.1637 0.1637 0.1637 x8
Ge 0.1684 0.1684 0.8316 x8

***

Diffraction record for AlNiGe. The XRD peak list is computed, not measured: it uses a crystal structure in the Materials Project, relaxed with GGA-PBE and Cu Kα, 1.54184 Å.
Lines closer than 0.1° are merged.

Most intense lines, 2θ from 10° to 90°, by angle:
| 2theta | I/Imax |
| --- | --- |
| 27.4 | 63.8 |
| 31.7 | 6.8 |
| 45.5 | 100.0 |
| 53.9 | 27.7 |
| 56.5 | 1.9 |
| 66.2 | 15.5 |
| 73.1 | 10.5 |
| 75.3 | 2.6 |
| 84.0 | 31.3 |

Structural model:
Cell lengths 5.6439, 5.6439, 5.6439 Å; angles 90.00, 90.00, 90.00 degrees
Space group F-43m (No. 216)
Unique sites:
Al 0.0000 0.0000 0.0000 x4
Ni 0.2500 0.2500 0.2500 x4
Ge 0.0000 0.0000 0.5000 x4

***

Diffraction record for AlNi4Ge. The XRD peak list is computed, not measured: it uses a crystal structure in the Materials Project, relaxed with GGA-PBE and Cu Kα, 1.54184 Å.
Lines closer than 0.1° are merged.

Most intense lines, 2θ from 10° to 90°, by angle:
| 2theta | I/Imax |
| --- | --- |
| 38.4 | 11.8 |
| 43.1 | 76.8 |
| 43.7 | 20.6 |
| 43.9 | 100.0 |
| 44.9 | 44.1 |
| 47.5 | 47.6 |
| 47.7 | 12.5 |
| 52.2 | 35.5 |
| 73.2 | 24.2 |
| 85.9 | 12.9 |

Structural model:
Cell lengths 3.8284, 7.3402, 5.0192 Å; angles 90.00, 90.00, 90.00 degrees
Space group Pmc2_1 (No. 26)
Unique sites:
Al 0.0000 0.1402 0.0000 x2
Ni 0.0000 0.1884 0.5241 x2
Ni 0.0000 0.4668 0.1359 x2
Ni 0.5000 0.0233 0.2540 x2
Ni 0.5000 0.3196 0.8485 x2
Ge 0.5000 0.3499 0.3717 x2

***

Diffraction record for Tb2Al4NiGe2. The XRD peak list is computed, not measured: it uses a crystal structure in the Materials Project, relaxed with GGA-PBE and Cu Kα, 1.54184 Å.
Lines closer than 0.1° are merged.

Most intense lines, 2θ from 10° to 90°, by angle:
| 2theta | I/Imax |
| --- | --- |
| 21.9 | 22.1 |
| 27.5 | 33.7 |
| 30.5 | 71.6 |
| 31.5 | 63.4 |
| 31.8 | 61.5 |
| 41.5 | 100.0 |
| 43.6 | 61.1 |
| 52.3 | 22.8 |
| 54.8 | 26.3 |
| 78.6 | 31.4 |

Structural model:
Cell lengths 4.1506, 4.1506, 19.4639 Å; angles 90.00, 90.00, 90.00 degrees
Space group I4/mmm (No. 139)
Unique sites:
Tb 0.0000 0.0000 0.1860 x4
Al 0.0000 0.5000 0.0673 x8
Ni 0.0000 0.0000 0.0000 x2
Ge 0.0000 0.0000 0.3377 x4

***

Diffraction record for Y3Al3NiGe2. The XRD peak list is computed, not measured: it uses a crystal structure in the Materials Project, relaxed with GGA-PBE and Cu Kα, 1.54184 Å.
Lines closer than 0.1° are merged.

Most intense lines, 2θ from 10° to 90°, by angle:
| 2theta | I/Imax |
| --- | --- |
| 25.6 | 30.2 |
| 33.5 | 100.0 |
| 36.7 | 90.1 |
| 39.6 | 25.9 |
| 43.2 | 29.5 |
| 45.1 | 30.3 |
| 45.3 | 26.0 |
| 59.5 | 19.3 |
| 64.3 | 20.3 |
| 71.9 | 21.5 |

Structural model:
Cell lengths 6.9612, 6.9612, 4.1847 Å; angles 90.00, 90.00, 120.00 degrees
Space group P-62m (No. 189)
Unique sites:
Y 0.0000 0.4040 0.0000 x3
Al 0.0000 0.7726 0.5000 x3
Ni 0.0000 0.0000 0.0000 x1
Ge 0.3333 0.6667 0.5000 x2

***

Diffraction record for Al2GeO6. The XRD peak list is computed, not measured: it uses a crystal structure in the Materials Project, relaxed with GGA-PBE and Cu Kα, 1.54184 Å.
Lines closer than 0.1° are merged.

Most intense lines, 2θ from 10° to 90°, by angle:
| 2theta | I/Imax |
| --- | --- |
| 18.9 | 27.2 |
| 23.4 | 65.0 |
| 26.8 | 52.2 |
| 28.0 | 37.2 |
| 29.5 | 100.0 |
| 36.0 | 32.8 |
| 36.4 | 49.1 |
| 40.7 | 30.7 |
| 52.9 | 31.8 |
| 62.1 | 32.8 |

Structural model:
Cell lengths 9.3717, 8.7078, 4.7258 Å; angles 90.00, 90.00, 90.00 degrees
Space group Pnma (No. 62)
Unique sites:
Al 0.1279 0.0810 0.0973 x8
Ge 0.0634 0.7500 0.4016 x4
O 0.0094 0.5856 0.2066 x8
O 0.0344 0.2500 0.2761 x4
O 0.2453 0.5458 0.8893 x8
O 0.2479 0.2500 0.9594 x4